Record 1
Diffraction record for MgNi2O4. The powder diffraction line list is calculated, not measured: it uses DFT lattice parameters and positions (PBE+U) and Cu Kα (weighted mean of Kα1 and Kα2).

Principal peaks in the range 2θ = 5–70°, sorted by position:
2θ (°), intensity
18.4, 69
35.3, 34
36.0, 100
43.8, 37
57.9, 32
63.0, 26

```
MgNi2O4
1.0
5.1337 -2.9228 0.0000
5.1337 2.9228 0.0000
-0.3679 0.0000 14.4510
Mg Ni O
6 12 24
Direct
0.0000 0.0000 0.0000 Mg
0.0010 0.0010 0.7590 Mg
0.3296 0.3296 0.0889 Mg
0.3341 0.3341 0.7103 Mg
0.6661 0.6661 0.4264 Mg
0.9985 0.9985 0.3769 Mg
0.0015 0.5023 0.8770 Ni
0.1645 0.1645 0.5430 Ni
0.1654 0.6689 0.5427 Ni
0.3330 0.3330 0.3308 Ni
0.3360 0.8287 0.2101 Ni
0.4999 0.4999 0.8779 Ni
0.5023 0.0015 0.8770 Ni
0.6645 0.6645 0.0417 Ni
0.6671 0.6671 0.6598 Ni
0.6689 0.1654 0.5427 Ni
0.8287 0.3360 0.2101 Ni
0.8296 0.8296 0.2099 Ni
0.0002 0.0002 0.6225 O
0.0292 0.4876 0.6134 O
0.1571 0.1571 0.2863 O
0.1587 0.6770 0.2882 O
0.1828 0.1828 0.8060 O
0.1874 0.6387 0.8045 O
0.2998 0.8458 0.4719 O
0.3315 0.3315 0.4598 O
0.3346 0.3346 0.9520 O
0.3719 0.8131 0.9553 O
0.4851 0.4851 0.6150 O
0.4876 0.0292 0.6134 O
0.5135 0.5135 0.1322 O
0.5168 0.9573 0.1255 O
0.6387 0.1874 0.8045 O
0.6659 0.6659 0.8009 O
0.6676 0.6676 0.2857 O
0.6770 0.1587 0.2882 O
0.8131 0.3719 0.9553 O
0.8173 0.8173 0.9494 O
0.8458 0.2998 0.4719 O
0.8497 0.8497 0.4707 O
0.9573 0.5168 0.1255 O
0.9963 0.9963 0.1381 O
```

***

Record 2
Diffraction record for MgNi2O4. The powder diffraction line list is calculated, not measured: it uses DFT lattice parameters and positions (PBE+U) and Cu Kα (weighted mean of Kα1 and Kα2).

Principal peaks in the range 2θ = 5–70°, sorted by position:
2θ (°), intensity
19.1, 50
34.5, 100
42.0, 46
43.1, 40
46.5, 50
59.7, 38

```
MgNi2O4
1.0
2.9277 0.0000 0.0000
0.0000 9.5291 0.0000
0.0000 0.0000 9.2886
Mg Ni O
4 8 16
Direct
0.1959 0.1471 0.2500 Mg
0.1959 0.3529 0.7500 Mg
0.8041 0.6471 0.2500 Mg
0.8041 0.8529 0.7500 Mg
0.2756 0.6134 0.5702 Ni
0.2756 0.6134 0.9298 Ni
0.2756 0.8866 0.0702 Ni
0.2756 0.8866 0.4298 Ni
0.7244 0.1134 0.5702 Ni
0.7244 0.1134 0.9298 Ni
0.7244 0.3866 0.0702 Ni
0.7244 0.3866 0.4298 Ni
0.1512 0.2500 0.0000 O
0.1512 0.2500 0.5000 O
0.2766 0.5274 0.1133 O
0.2766 0.5274 0.3867 O
0.2766 0.9726 0.6133 O
0.2766 0.9726 0.8867 O
0.3035 0.7049 0.7500 O
0.3035 0.7951 0.2500 O
0.6965 0.2049 0.7500 O
0.6965 0.2951 0.2500 O
0.7234 0.0274 0.1133 O
0.7234 0.0274 0.3867 O
0.7234 0.4726 0.6133 O
0.7234 0.4726 0.8867 O
0.8488 0.7500 0.0000 O
0.8488 0.7500 0.5000 O
```

***

Record 3
Diffraction record for MgNi2O4. The powder diffraction line list is calculated, not measured: it uses DFT lattice parameters and positions (PBE+U) and Cu Kα (weighted mean of Kα1 and Kα2).

Principal peaks in the range 2θ = 5–70°, sorted by position:
2θ (°), intensity
20.1, 68
35.0, 100
40.7, 94
47.0, 68
54.9, 42
62.9, 48

```
MgNi2O4
1.0
2.5599 -1.4792 0.0000
2.5599 1.4792 0.0000
-0.0202 0.0000 8.8410
Mg Ni O
1 2 4
Direct
0.0000 0.0000 0.0000 Mg
0.9998 0.9998 0.2902 Ni
0.0002 0.0002 0.7098 Ni
0.3332 0.3332 0.8590 O
0.3335 0.3335 0.3960 O
0.6665 0.6665 0.6040 O
0.6668 0.6668 0.1410 O
```

***

Record 4
Diffraction record for MgNi2O4. The powder diffraction line list is calculated, not measured: it uses DFT lattice parameters and positions (PBE+U) and Cu Kα (weighted mean of Kα1 and Kα2).

Principal peaks in the range 2θ = 5–70°, sorted by position:
2θ (°), intensity
18.4, 100
35.3, 40
35.7, 80
43.4, 46
57.4, 27
62.6, 45

```
MgNi2O4
1.0
5.1490 -2.9447 0.0000
5.1490 2.9447 0.0000
-3.3696 0.0000 4.8341
Mg Ni O
2 4 8
Direct
0.1242 0.1242 0.3751 Mg
0.8758 0.8758 0.6249 Mg
0.0000 0.5000 0.0000 Ni
0.5000 0.0000 0.0000 Ni
0.5000 0.5000 0.0000 Ni
0.5000 0.5000 0.5000 Ni
0.2549 0.2549 0.2224 O
0.2596 0.7125 0.2444 O
0.2688 0.2688 0.7856 O
0.2875 0.7404 0.7556 O
0.7125 0.2596 0.2444 O
0.7312 0.7312 0.2144 O
0.7404 0.2875 0.7556 O
0.7451 0.7451 0.7776 O
```